Record 1
# Zr3Sc4O12
Simulated powder XRD pattern, Cu Kα (λ = 1.5418 Å). Input: a structure optimized by DFT (PBE).
Kinematic intensities with the Lorentz-polarization factor, no thermal factor.

Top 10 peaks for 2θ = 10–90°, by angle:
22.88°, intensity 11
23.86°, intensity 9
30.42°, intensity 100
30.56°, intensity 35
35.31°, intensity 23
50.71°, intensity 34
50.87°, intensity 23
50.94°, intensity 12
60.36°, intensity 21
60.46°, intensity 8

Structural model:
Cell: 6.206 6.238 12.456 Å, 99.59 99.42 99.52°
Element x y z (fractional)
Zr  0.000  0.000  0.000
Zr  0.003  0.000  0.503
Zr  0.144  0.614  0.161
Zr  0.315  0.143  0.811
Zr  0.616  0.321  0.573
Zr  0.691  0.873  0.198
Sc  0.147  0.614  0.663
Sc  0.327  0.153  0.307
Sc  0.396  0.677  0.931
Sc  0.399  0.686  0.434
Sc  0.613  0.324  0.074
Sc  0.682  0.863  0.699
Sc  0.865  0.401  0.843
Sc  0.868  0.401  0.346
O  0.067  0.677  0.963
O  0.067  0.686  0.453
O  0.084  0.941  0.167
O  0.106  0.945  0.663
O  0.185  0.426  0.792
O  0.186  0.426  0.289
O  0.323  0.113  0.473
O  0.324  0.105  0.976
O  0.427  0.827  0.292
O  0.428  0.582  0.593
O  0.428  0.584  0.094
O  0.428  0.828  0.797
O  0.576  0.185  0.715
O  0.580  0.185  0.211
O  0.585  0.421  0.914
O  0.589  0.431  0.414
O  0.677  0.926  0.536
O  0.678  0.906  0.032
O  0.824  0.588  0.216
O  0.825  0.586  0.715
O  0.902  0.067  0.344
O  0.923  0.068  0.841
O  0.946  0.330  0.552
O  0.947  0.320  0.057


Record 2
# Nd7Pb4N
Simulated powder XRD pattern, Cu Kα (λ = 1.5418 Å). Input: a structure optimized by DFT (PBE).
Kinematic intensities with the Lorentz-polarization factor, no thermal factor.

Top 10 peaks for 2θ = 10–90°, by angle:
18.21°, intensity 18
23.35°, intensity 20
24.91°, intensity 14
32.09°, intensity 84
32.94°, intensity 100
34.29°, intensity 38
44.90°, intensity 16
48.32°, intensity 21
57.68°, intensity 16
60.02°, intensity 14

Structural model:
Cell: 8.828 8.828 11.455 Å, 125.42 125.42 34.46°
Element x y z (fractional)
Nd  0.000  0.000  0.000
Nd  0.137  0.137  0.540
Nd  0.284  0.284  0.137
Nd  0.436  0.436  0.760
Nd  0.564  0.564  0.240
Nd  0.716  0.716  0.863
Nd  0.863  0.863  0.460
Pb  0.080  0.080  0.781
Pb  0.222  0.222  0.344
Pb  0.778  0.778  0.656
Pb  0.920  0.920  0.219
N  0.500  0.500  0.000